# 1
For LiVP2O7, a structure optimized by DFT (GGA+U) gives the simulated powder diffraction line list in this record (a wavelength of 1.5418 Å).
Neutral-atom scattering factors, no anomalous dispersion.

Structure:
```
data_LiVP2O7
_chemical_formula_sum 'Li4 V4 P8 O28'
_symmetry_space_group_name_H-M 'P 1 21/c 1'
_symmetry_Int_Tables_number 14
_symmetry_space_group_name_Hall '-P 2ybc'
_cell_length_a 8.4626
_cell_length_b 5.0647
_cell_length_c 13.4926
_cell_angle_alpha 90.00
_cell_angle_beta 116.43
_cell_angle_gamma 90.00
loop_
_atom_site_label
_atom_site_type_symbol
_atom_site_fract_x
_atom_site_fract_y
_atom_site_fract_z
Li1 Li 0.0909 0.2314 0.2026
V1 V 0.2322 0.2363 0.9692
P1 P 0.1962 0.7321 0.1164
P2 P 0.3274 0.7446 0.3542
O1 O 0.0272 0.6554 0.6180
O2 O 0.1837 0.0667 0.5943
O3 O 0.1942 0.5506 0.8583
O4 O 0.2510 0.0363 0.8411
O5 O 0.2551 0.6142 0.5430
O6 O 0.3456 0.7071 0.7408
O7 O 0.4879 0.2170 0.5558
```

Largest 10 diffraction maxima, by angle, 2θ from 15° to 90°:
d (Å)  2theta  I_rel  (hkl)
3.942  22.56  1000  1 1 -2
3.789  23.48  676  2 0 0
3.208  27.81  105  2 1 -2
2.805  31.91  339  1 1 -4
2.712  33.03  112  2 0 2
2.532  35.45  185  0 2 0
2.464  36.47  90  3 1 -2
2.338  38.50  90  2 1 -5
1.851  49.23  93  4 0 -6
1.614  57.08  95  4 0 2



# 2
For Li3VP2O8, a structure optimized by DFT (GGA+U) gives the simulated powder diffraction line list in this record (a wavelength of 1.5418 Å).
Neutral-atom scattering factors, no anomalous dispersion.

Structure:
```
data_Li3VP2O8
_chemical_formula_sum 'Li12 V4 P8 O32'
_symmetry_space_group_name_H-M 'P 1'
_symmetry_Int_Tables_number 1
_symmetry_space_group_name_Hall 'P 1'
_cell_length_a 8.7293
_cell_length_b 8.7650
_cell_length_c 9.1995
_cell_angle_alpha 86.83
_cell_angle_beta 87.20
_cell_angle_gamma 67.36
loop_
_atom_site_label
_atom_site_type_symbol
_atom_site_fract_x
_atom_site_fract_y
_atom_site_fract_z
Li1 Li 0.0000 0.0000 0.0000
Li2 Li 0.9997 0.3477 0.1251
Li3 Li 0.0659 0.4235 0.8614
Li4 Li 0.2166 0.1789 0.6651
Li5 Li 0.2332 0.6277 0.1016
Li6 Li 0.2654 0.2400 0.3561
Li7 Li 0.4736 0.4043 0.5964
Li8 Li 0.5161 0.8409 0.1311
Li9 Li 0.6745 0.7129 0.6484
Li10 Li 0.7152 0.1495 0.2223
Li11 Li 0.9518 0.3159 0.4381
Li12 Li 0.9709 0.9034 0.6695
V1 V 0.3388 0.7864 0.4841
V2 V 0.5941 0.0474 0.8028
V3 V 0.6207 0.5052 0.9849
V4 V 0.8746 0.7683 0.3004
P1 P 0.0982 0.9924 0.3160
P2 P 0.1210 0.5645 0.4620
P3 P 0.3422 0.8522 0.8237
P4 P 0.3891 0.2935 0.9628
P5 P 0.5387 0.0414 0.4650
P6 P 0.6780 0.5162 0.3241
P7 P 0.8276 0.2634 0.8141
P8 P 0.8643 0.7077 0.9660
O1 O 0.0502 0.6651 0.9573
O2 O 0.0839 0.9631 0.4840
O3 O 0.0910 0.1680 0.2780
O4 O 0.1230 0.5943 0.2923
O5 O 0.1278 0.3903 0.5056
O6 O 0.1541 0.9049 0.8380
O7 O 0.2172 0.3071 0.0176
O8 O 0.2680 0.5925 0.5271
O9 O 0.2708 0.8549 0.2722
O10 O 0.3766 0.0041 0.4733
O11 O 0.3804 0.0123 0.8038
O12 O 0.4072 0.2974 0.7917
O13 O 0.4191 0.7501 0.6859
O14 O 0.4282 0.4360 0.0260
O15 O 0.4390 0.7483 0.9566
O16 O 0.4801 0.2290 0.4504
O17 O 0.5323 0.1236 0.0083
O18 O 0.5757 0.6041 0.4590
O19 O 0.5780 0.5932 0.1854
O20 O 0.6401 0.9605 0.6017
O21 O 0.6471 0.9592 0.3301
O22 O 0.6742 0.4296 0.7808
O23 O 0.7382 0.3282 0.3367
O24 O 0.7713 0.8040 0.8295
O25 O 0.7776 0.8084 0.1012
O26 O 0.7956 0.1139 0.7582
O27 O 0.8279 0.2459 0.9862
O28 O 0.8411 0.5524 0.3133
O29 O 0.8417 0.5374 0.9779
O30 O 0.9514 0.7049 0.5107
O31 O 0.9590 0.9627 0.2330
O32 O 0.9867 0.2745 0.7477
```

Largest 10 diffraction maxima, by angle, 2θ from 15° to 90°:
d (Å)  2theta  I_rel  (hkl)
4.591  19.34  732  0 0 2
4.299  20.66  325  -1 1 1
4.279  20.76  296  1 -1 1
3.931  22.62  247  0 1 -2
3.632  24.51  1000  2 2 0
2.939  30.41  214  2 2 2
2.783  32.16  289  3 2 0
2.621  34.21  216  3 2 -1
2.425  37.07  185  2 -2 0
2.295  39.25  180  0 0 4